1.
Theoretical powder diffractogram
Compound: K2RbBiBr6
Radiation: Cu Kα X-rays
Structure: a structure optimized by DFT (PBE)
Peak positions follow from Bragg's law for the DFT cell and can differ from measured ones.

Most intense lines, 2θ from 15° to 90°, sorted by position:
d [Å], I/Imax
4.318, 30
3.525, 21
3.053, 100
2.731, 54
2.159, 72
2.035, 29
1.763, 25
1.481, 17
1.365, 30
1.246, 21

Structure:
```
K2RbBiBr6
1.0
0.0000 6.1059 6.1059
6.1059 0.0000 6.1059
6.1059 6.1059 0.0000
K Rb Bi Br
2 1 1 6
direct
0.2500 0.2500 0.2500
0.7500 0.7500 0.7500
0.0000 0.0000 0.0000
0.5000 0.5000 0.5000
0.2656 0.2656 0.7344
0.2656 0.7344 0.2656
0.2656 0.7344 0.7344
0.7344 0.2656 0.2656
0.7344 0.2656 0.7344
0.7344 0.7344 0.2656
```

***

2.
Theoretical powder diffractogram
Compound: La5Bi3Br
Radiation: Cu Kα X-rays
Structure: a structure optimized by DFT (PBE)
Peak positions follow from Bragg's law for the DFT cell and can differ from measured ones.

Most intense lines, 2θ from 15° to 90°, sorted by position:
d [Å], I/Imax
3.436, 19
2.914, 70
2.838, 86
2.816, 100
2.233, 27
1.999, 25
1.866, 19
1.634, 17
1.567, 18
1.470, 24

Structure:
```
La5Bi3Br
1.0
9.8315 0.0000 0.0000
-4.9158 8.5144 0.0000
0.0000 0.0000 6.8717
La Bi Br
10 6 2
direct
0.0000 0.2723 0.2500
0.0000 0.7277 0.7500
0.2723 0.0000 0.2500
0.2723 0.2723 0.7500
0.3333 0.6667 0.0000
0.3333 0.6667 0.5000
0.6667 0.3333 0.0000
0.6667 0.3333 0.5000
0.7277 0.0000 0.7500
0.7277 0.7277 0.2500
0.0000 0.3835 0.7500
0.0000 0.6165 0.2500
0.3835 0.0000 0.7500
0.3835 0.3835 0.2500
0.6165 0.0000 0.2500
0.6165 0.6165 0.7500
0.0000 0.0000 0.0000
0.0000 0.0000 0.5000
```

***

3.
Theoretical powder diffractogram
Compound: LiBi3Br2O4
Radiation: Cu Kα X-rays
Structure: a structure optimized by DFT (PBE)
Peak positions follow from Bragg's law for the DFT cell and can differ from measured ones.

Most intense lines, 2θ from 15° to 90°, sorted by position:
d [Å], I/Imax
5.590, 15
4.637, 15
2.903, 100
2.778, 19
2.769, 19
1.961, 20
1.703, 23
1.627, 20
1.623, 18
1.451, 11

Structure:
```
LiBi3Br2O4
1.0
2.7782 -6.4752 0.0000
2.7782 6.4752 0.0000
0.0000 0.0000 11.0773
Li Bi Br O
2 6 4 8
direct
0.2132 0.7868 0.7500
0.7868 0.2132 0.2500
0.1518 0.8482 0.2500
0.3386 0.6614 0.0057
0.3386 0.6614 0.4943
0.6614 0.3386 0.5057
0.6614 0.3386 0.9943
0.8482 0.1518 0.7500
0.0000 0.0000 0.0000
0.0000 0.0000 0.5000
0.4905 0.5095 0.7500
0.5095 0.4905 0.2500
0.0035 0.4893 0.6235
0.0035 0.4893 0.8765
0.4893 0.0035 0.1235
0.4893 0.0035 0.3765
0.5107 0.9965 0.6235
0.5107 0.9965 0.8765
0.9965 0.5107 0.1235
0.9965 0.5107 0.3765
```